1.
RbN2F11: calculated PXRD pattern (Cu Kα X-rays), based on a GGA-PBE-relaxed structure.
Lines closer than 0.1° are merged.

Cell and atoms:
```
RbN2F11
1.0
8.0514 0.0000 0.0000
-1.0634 8.4188 0.0000
-3.3315 -3.8895 7.1199
Rb N F
2 4 22
Direct
0.0000 0.0000 0.0000 Rb
0.4658 0.7592 0.9944 Rb
0.0504 0.4961 0.4475 N
0.4077 0.7315 0.4642 N
0.5193 0.2636 0.4648 N
0.9521 0.9833 0.4648 N
0.0838 0.4412 0.5865 F
0.1045 0.3701 0.3268 F
0.1450 0.0440 0.5433 F
0.1629 0.8416 0.7770 F
0.2192 0.4389 0.9516 F
0.2409 0.7193 0.3213 F
0.2855 0.2723 0.9535 F
0.3603 0.0109 0.2730 F
0.3690 0.0734 0.9578 F
0.4517 0.3193 0.5920 F
0.4771 0.9154 0.5963 F
0.5021 0.3791 0.3895 F
0.5324 0.7220 0.3827 F
0.6664 0.7057 0.7882 F
0.7100 0.3034 0.5689 F
0.7756 0.2363 0.9123 F
0.7979 0.4366 0.9568 F
0.8224 0.0491 0.2678 F
0.8250 0.6859 0.0135 F
0.8531 0.4295 0.3436 F
0.9032 0.8006 0.4053 F
0.9113 0.0562 0.6117 F
```

Peak list (10 most intense, 10 to 90 degrees two-theta, low angle first)
2θ/deg  d [Å]  I_rel
11.98  7.388  40
12.45  7.107  42
23.30  3.817  64
24.26  3.669  40
25.02  3.559  100
25.89  3.441  53
26.24  3.396  68
29.92  2.987  58
30.73  2.910  51
37.95  2.371  49

=====

2.
Rb2SeNF6: calculated PXRD pattern (Cu Kα X-rays), based on a GGA-PBE-relaxed structure.
Lines closer than 0.1° are merged.

Cell and atoms:
```
Rb2SeNF6
1.0
-3.2517 3.2517 4.6149
3.2517 -3.2517 4.6149
3.2517 3.2517 -4.6149
Rb Se N F
2 1 1 6
Direct
0.2500 0.7500 0.5000 Rb
0.7500 0.2500 0.5000 Rb
0.0000 0.0000 0.0000 Se
0.5000 0.5000 0.0000 N
0.2126 0.2126 0.0000 F
0.2132 0.2132 0.4265 F
0.2132 0.7868 0.0000 F
0.7868 0.2132 0.0000 F
0.7874 0.7874 0.0000 F
0.7868 0.7868 0.5735 F
```

Peak list (10 most intense, 10 to 90 degrees two-theta, low angle first)
2θ/deg  d [Å]  I_rel
16.68  5.316  35
27.40  3.256  100
33.72  2.658  24
39.04  2.307  15
39.18  2.299  31
48.43  1.880  36
56.50  1.629  18
56.61  1.626  9
64.02  1.454  14
77.64  1.230  15

=====

3.
Rb2TeNF6: calculated PXRD pattern (Cu Kα X-rays), based on a GGA-PBE-relaxed structure.
Lines closer than 0.1° are merged.

Cell and atoms:
```
Rb2TeNF6
1.0
-3.3579 3.3579 4.7620
3.3579 -3.3579 4.7620
3.3579 3.3579 -4.7620
Rb Te N F
2 1 1 6
Direct
0.2500 0.7500 0.5000 Rb
0.7500 0.2500 0.5000 Rb
0.0000 0.0000 0.0000 Te
0.5000 0.5000 0.0000 N
0.2191 0.2191 0.0000 F
0.2196 0.2196 0.4392 F
0.2196 0.7804 0.0000 F
0.7804 0.2196 0.0000 F
0.7804 0.7804 0.5608 F
0.7809 0.7809 0.0000 F
```

Peak list (10 most intense, 10 to 90 degrees two-theta, low angle first)
2θ/deg  d [Å]  I_rel
16.15  5.488  50
26.52  3.361  100
31.21  2.866  18
32.63  2.744  11
37.78  2.381  15
37.89  2.374  29
46.82  1.940  39
54.61  1.680  26
61.77  1.502  14
74.69  1.271  15

=====

4.
ScRhNF2: calculated PXRD pattern (Cu Kα X-rays), based on a GGA-PBE-relaxed structure.
Lines closer than 0.1° are merged.

Cell and atoms:
```
ScRhNF2
1.0
3.9179 0.0000 0.0000
0.0000 3.9179 0.0000
0.0000 0.0000 4.5100
Sc Rh N F
1 1 1 2
Direct
0.0000 0.0000 0.0000 Sc
0.5000 0.5000 0.5000 Rh
0.0000 0.0000 0.5000 N
0.0000 0.5000 0.0000 F
0.5000 0.0000 0.0000 F
```

Peak list (10 most intense, 10 to 90 degrees two-theta, low angle first)
2θ/deg  d [Å]  I_rel
22.70  3.918  11
30.22  2.958  100
32.31  2.770  35
38.12  2.361  36
39.98  2.255  25
46.35  1.959  32
52.31  1.749  17
56.33  1.633  34
62.84  1.479  23
67.66  1.385  12

=====

5.
TlRhNF2: calculated PXRD pattern (Cu Kα X-rays), based on a GGA-PBE-relaxed structure.
Lines closer than 0.1° are merged.

Cell and atoms:
```
TlRhNF2
1.0
4.5687 0.0000 0.0000
0.0000 4.5687 0.0000
0.0000 0.0000 3.6892
Tl Rh N F
1 1 1 2
Direct
0.0000 0.0000 0.0000 Tl
0.5000 0.5000 0.5000 Rh
0.5000 0.5000 0.0000 N
0.0000 0.5000 0.5000 F
0.5000 0.0000 0.5000 F
```

Peak list (10 most intense, 10 to 90 degrees two-theta, low angle first)
2θ/deg  d [Å]  I_rel
27.61  3.231  63
31.16  2.870  100
36.99  2.430  16
39.45  2.284  40
51.10  1.787  51
57.01  1.615  13
57.54  1.602  17
64.50  1.445  12
64.98  1.435  17
80.07  1.198  14

=====

6.
Sb2SNF11: calculated PXRD pattern (Cu Kα X-rays), based on a GGA-PBE-relaxed structure.
Lines closer than 0.1° are merged.

Cell and atoms:
```
Sb2SNF11
1.0
8.2157 0.0000 0.0000
0.0000 11.9239 0.0000
-0.5707 0.0000 10.5975
Sb S N F
8 4 4 44
Direct
0.1731 0.2215 0.4502 Sb
0.1731 0.2785 0.9502 Sb
0.3221 0.5536 0.7710 Sb
0.3221 0.9464 0.2710 Sb
0.6779 0.0536 0.7290 Sb
0.6779 0.4464 0.2290 Sb
0.8269 0.7215 0.0498 Sb
0.8269 0.7785 0.5498 Sb
0.2055 0.5404 0.2742 S
0.2055 0.9596 0.7742 S
0.7945 0.0404 0.2258 S
0.7945 0.4596 0.7258 S
0.2534 0.6038 0.3845 N
0.2534 0.8962 0.8845 N
0.7466 0.1038 0.1155 N
0.7466 0.3962 0.6155 N
0.0181 0.6849 0.1533 F
0.0181 0.8151 0.6533 F
0.0661 0.1715 0.0465 F
0.0661 0.3285 0.5465 F
0.0943 0.5498 0.7213 F
0.0943 0.9502 0.2213 F
0.1276 0.0976 0.5554 F
0.1276 0.4024 0.0554 F
0.2299 0.1705 0.8254 F
0.2299 0.3295 0.3254 F
0.2742 0.6003 0.9352 F
0.2742 0.8997 0.4352 F
0.2875 0.1094 0.3347 F
0.2875 0.3906 0.8347 F
0.3584 0.7002 0.7122 F
0.3584 0.7998 0.2122 F
0.3711 0.0166 0.1173 F
0.3711 0.4834 0.6173 F
0.3817 0.2397 0.5323 F
0.3817 0.2603 0.0323 F
0.4547 0.0263 0.6710 F
0.4547 0.4737 0.1710 F
0.5453 0.5263 0.8290 F
0.5453 0.9737 0.3290 F
0.6183 0.7397 0.9677 F
0.6183 0.7603 0.4677 F
0.6289 0.5166 0.3827 F
0.6289 0.9834 0.8827 F
0.6416 0.2002 0.7878 F
0.6416 0.2998 0.2878 F
0.7125 0.6094 0.1653 F
0.7125 0.8906 0.6653 F
0.7258 0.1003 0.5648 F
0.7258 0.3997 0.0648 F
0.7701 0.6705 0.6746 F
0.7701 0.8295 0.1746 F
0.8724 0.5976 0.9446 F
0.8724 0.9024 0.4446 F
0.9057 0.0498 0.7787 F
0.9057 0.4502 0.2787 F
0.9339 0.6715 0.4535 F
0.9339 0.8285 0.9535 F
0.9819 0.1849 0.3467 F
0.9819 0.3151 0.8467 F
```

Peak list (10 most intense, 10 to 90 degrees two-theta, low angle first)
2θ/deg  d [Å]  I_rel
13.10  6.759  43
15.23  5.816  39
15.86  5.587  39
18.38  4.828  43
20.44  4.346  52
20.84  4.263  83
21.67  4.102  38
22.45  3.961  100
22.93  3.879  34
24.88  3.579  92

=====

7.
SbN2F5: calculated PXRD pattern (Cu Kα X-rays), based on a GGA-PBE-relaxed structure.
Lines closer than 0.1° are merged.

Cell and atoms:
```
SbN2F5
1.0
9.0613 0.0000 0.0000
0.0000 9.1833 0.0000
-1.7802 0.0000 3.7025
Sb N F
2 4 10
Direct
0.0000 0.0000 0.0000 Sb
0.5000 0.5000 0.0000 Sb
0.0678 0.5000 0.0795 N
0.4322 0.0000 0.9205 N
0.5678 0.0000 0.0795 N
0.9322 0.5000 0.9205 N
0.0000 0.0000 0.5000 F
0.1622 0.1457 0.1549 F
0.1622 0.8543 0.1549 F
0.3378 0.3543 0.8451 F
0.3378 0.6457 0.8451 F
0.5000 0.5000 0.5000 F
0.6622 0.3543 0.1549 F
0.6622 0.6457 0.1549 F
0.8378 0.1457 0.8451 F
0.8378 0.8543 0.8451 F
```

Peak list (10 most intense, 10 to 90 degrees two-theta, low angle first)
2θ/deg  d [Å]  I_rel
14.51  6.103  100
19.33  4.592  30
21.77  4.083  15
23.73  3.749  23
24.04  3.703  24
24.48  3.637  21
29.27  3.051  27
31.38  2.851  11
44.12  2.053  14
44.54  2.034  12

=====

8.
Sb4NF13: calculated PXRD pattern (Cu Kα X-rays), based on a GGA-PBE-relaxed structure.
Lines closer than 0.1° are merged.

Cell and atoms:
```
Sb4NF13
1.0
-5.2176 5.2176 2.7135
5.2176 -5.2176 2.7135
5.2176 5.2176 -2.7135
Sb N F
4 1 13
Direct
0.0038 0.2662 0.2700 Sb
0.2662 0.9962 0.2624 Sb
0.7338 0.0038 0.7376 Sb
0.9962 0.7338 0.7300 Sb
0.5000 0.5000 0.0000 N
0.0000 0.0000 0.0000 F
0.0502 0.3684 0.9200 F
0.1110 0.4245 0.5355 F
0.1302 0.0502 0.6818 F
0.3684 0.4485 0.3182 F
0.4245 0.8890 0.3135 F
0.4485 0.1302 0.0800 F
0.5515 0.8698 0.9200 F
0.5755 0.1110 0.6865 F
0.6316 0.5515 0.6818 F
0.8698 0.9498 0.3182 F
0.8890 0.5755 0.4645 F
0.9498 0.6316 0.0800 F
```

Peak list (10 most intense, 10 to 90 degrees two-theta, low angle first)
2θ/deg  d [Å]  I_rel
18.43  4.815  81
24.12  3.689  86
25.17  3.538  100
30.53  2.928  42
34.38  2.609  27
39.28  2.294  27
41.30  2.186  38
46.63  1.948  31
48.40  1.881  33
49.98  1.825  33